# 1
Calculated powder diffraction line list
Compound: Tb2MgV2O8
Radiation: Cu Kα (weighted mean of Kα1 and Kα2)
Structure: a cell relaxed with PBE+U
Kinematic intensities with the Lorentz-polarization factor, no thermal factor.

Most intense lines, 10 to 90 degrees two-theta, low angle first:
(1 1 -1), 2θ 18.1, I 49; (0 2 1), 2θ 24.0, I 100; (1 3 0), 2θ 30.5, I 17; (2 0 0), 2θ 32.3, I 48; (2 2 -1), 2θ 32.6, I 34; (0 0 2), 2θ 33.5, I 16; (1 3 -2), 2θ 38.9, I 24; (2 2 1), 2θ 47.4, I 16; (2 2 -3), 2θ 47.5, I 15; (2 4 0), 2θ 48.1, I 32; (0 4 2), 2θ 49.0, I 17; (4 2 -3), 2θ 62.4, I 12

Structural model:
abc: 6.4960 10.3366 6.2470
angles: 90.00 121.18 90.00
Space group C2 (No. 5)
Asymmetric unit:
1 Tb 0.0000 0.0000 0.0000 [2 per cell]
2 Tb 0.0000 0.2810 0.5000 [2 per cell]
3 Mg 0.0000 0.2941 0.0000 [2 per cell]
4 V 0.0000 0.5579 0.0000 [2 per cell]
5 V 0.0000 0.7750 0.5000 [2 per cell]
6 O 0.0874 0.4307 0.8386 [4 per cell]
7 O 0.0997 0.8596 0.3171 [4 per cell]
8 O 0.2125 0.1302 0.8212 [4 per cell]
9 O 0.2192 0.1889 0.2895 [4 per cell]


# 2
Calculated powder diffraction line list
Compound: Li2Ti2Mn3O10
Radiation: Cu Kα (weighted mean of Kα1 and Kα2)
Structure: a cell relaxed with PBE+U
Kinematic intensities with the Lorentz-polarization factor, no thermal factor.

Most intense lines, 10 to 90 degrees two-theta, low angle first:
(0 0 1), 2θ 12.0, I 96; (1 1 1), 2θ 17.9, I 40; (1 -1 0), 2θ 18.0, I 100; (0 2 0), 2θ 23.4, I 29; (1 1 -1), 2θ 26.8, I 38; (1 -1 2), 2θ 27.3, I 20; (2 0 3), 2θ 36.6, I 19; (0 2 -2), 2θ 37.2, I 21; (0 2 3), 2θ 39.4, I 63; (3 1 1), 2θ 43.1, I 50; (1 -3 2), 2θ 45.8, I 45; (-3 1 2), 2θ 59.8, I 25

Structural model:
abc: 6.6475 7.7587 8.2051
angles: 79.06 66.63 89.25
Space group P-1 (No. 2)
Asymmetric unit:
1 Li 0.1681 0.1672 0.4166 [2 per cell]
2 Li 0.3195 0.3550 0.6099 [2 per cell]
3 Ti 0.2267 0.7276 0.6878 [2 per cell]
4 Ti 0.2625 0.7827 0.3267 [2 per cell]
5 Mn 0.1033 0.5929 0.1147 [2 per cell]
6 Mn 0.2509 0.2501 0.9937 [2 per cell]
7 Mn 0.3882 0.9071 0.9050 [2 per cell]
8 O 0.0046 0.2872 0.6466 [2 per cell]
9 O 0.1090 0.8119 0.9399 [2 per cell]
10 O 0.1102 0.3437 0.2106 [2 per cell]
11 O 0.1781 0.9060 0.5206 [2 per cell]
12 O 0.1949 0.4656 0.8485 [2 per cell]
13 O 0.3114 0.0224 0.1263 [2 per cell]
14 O 0.3355 0.6118 0.4892 [2 per cell]
15 O 0.3813 0.1404 0.7860 [2 per cell]
16 O 0.3891 0.6931 0.0764 [2 per cell]
17 O 0.4859 0.8053 0.6988 [2 per cell]


# 3
Calculated powder diffraction line list
Compound: Li3Fe3SbO8
Radiation: Cu Kα (weighted mean of Kα1 and Kα2)
Structure: a cell relaxed with PBE+U
Kinematic intensities with the Lorentz-polarization factor, no thermal factor.

Most intense lines, 10 to 90 degrees two-theta, low angle first:
(2 0 -1), 2θ 17.8, I 100; (2 0 1), 2θ 34.3, I 15; (0 2 1), 2θ 34.5, I 28; (4 0 -2), 2θ 36.1, I 15; (4 0 0), 2θ 41.6, I 19; (2 2 -2), 2θ 41.9, I 37; (4 2 -1), 2θ 45.8, I 15; (4 2 -3), 2θ 55.4, I 12; (2 2 2), 2θ 60.5, I 11; (6 2 -2), 2θ 60.7, I 15; (0 2 3), 2θ 63.7, I 5; (4 4 0), 2θ 76.5, I 7

Structural model:
abc: 10.5898 6.0851 6.1025
angles: 90.00 124.98 90.00
Space group C2/m (No. 12)
Asymmetric unit:
1 Li 0.0000 0.0000 0.0000 [2 per cell]
2 Li 0.2500 0.2500 0.5000 [4 per cell]
3 Fe 0.0000 0.5000 0.5000 [2 per cell]
4 Fe 0.2500 0.2500 0.0000 [4 per cell]
5 Sb 0.0000 0.0000 0.5000 [2 per cell]
6 O 0.0080 0.2326 0.7399 [8 per cell]
7 O 0.2338 0.0000 0.7419 [4 per cell]
8 O 0.2488 0.5000 0.7800 [4 per cell]


# 4
Calculated powder diffraction line list
Compound: LiMnSiO4
Radiation: Cu Kα (weighted mean of Kα1 and Kα2)
Structure: a cell relaxed with PBE+U
Kinematic intensities with the Lorentz-polarization factor, no thermal factor.

Most intense lines, 10 to 90 degrees two-theta, low angle first:
(0 1 0), 2θ 14.9, I 100; (0 1 2), 2θ 22.5, I 42; (1 1 -1), 2θ 23.9, I 15; (1 0 2), 2θ 24.1, I 20; (1 -1 2), 2θ 32.0, I 17; (1 0 3), 2θ 32.3, I 31; (2 0 0), 2θ 32.4, I 74; (0 2 2), 2θ 33.1, I 19; (1 2 -1), 2θ 34.9, I 22; (2 0 -1), 2θ 35.0, I 17; (1 0 -3), 2θ 35.5, I 22; (1 2 5), 2θ 53.4, I 12

Structural model:
abc: 5.7117 6.1963 9.2774
angles: 78.05 81.18 76.50
Space group P-1 (No. 2)
Asymmetric unit:
1 Li 0.1811 0.3625 0.4145 [2 per cell]
2 Li 0.3061 0.5582 0.7276 [2 per cell]
3 Mn 0.1944 0.0659 0.7201 [2 per cell]
4 Mn 0.2810 0.1607 0.0886 [2 per cell]
5 Si 0.1793 0.7100 0.0375 [2 per cell]
6 Si 0.3148 0.8396 0.4081 [2 per cell]
7 O 0.1102 0.2224 0.8906 [2 per cell]
8 O 0.1111 0.7044 0.3851 [2 per cell]
9 O 0.1435 0.7749 0.8595 [2 per cell]
10 O 0.2752 0.8654 0.5833 [2 per cell]
11 O 0.2874 0.0932 0.3030 [2 per cell]
12 O 0.2906 0.4521 0.1022 [2 per cell]
13 O 0.3665 0.8517 0.0725 [2 per cell]
14 O 0.3971 0.2929 0.6228 [2 per cell]


# 5
Calculated powder diffraction line list
Compound: PuMoBrO5
Radiation: Cu Kα (weighted mean of Kα1 and Kα2)
Structure: a cell relaxed with PBE+U
Kinematic intensities with the Lorentz-polarization factor, no thermal factor.

Most intense lines, 10 to 90 degrees two-theta, low angle first:
(1 1 0), 2θ 14.3, I 75; (2 0 0), 2θ 15.5, I 97; (1 0 -2), 2θ 24.2, I 100; (2 1 1), 2θ 25.3, I 90; (2 0 -2), 2θ 25.9, I 34; (0 2 1), 2θ 27.3, I 70; (3 0 -2), 2θ 29.8, I 34; (3 1 1), 2θ 31.6, I 27; (4 1 -1), 2θ 33.0, I 79; (1 3 0), 2θ 37.5, I 29; (1 1 -3), 2θ 38.6, I 41; (2 2 -3), 2θ 44.8, I 40

Structural model:
abc: 11.8114 7.3550 7.3830
angles: 90.00 104.13 90.00
Space group P2_1/c (No. 14)
Asymmetric unit:
1 Pu 0.2356 0.0830 0.3870 [4 per cell]
2 Mo 0.1136 0.5686 0.3045 [4 per cell]
3 Br 0.3799 0.1184 0.1149 [4 per cell]
4 O 0.0379 0.1089 0.3195 [4 per cell]
5 O 0.1210 0.0348 0.0200 [4 per cell]
6 O 0.1817 0.7108 0.8417 [4 per cell]
7 O 0.1854 0.0883 0.6763 [4 per cell]
8 O 0.3731 0.5179 0.0070 [4 per cell]


# 6
Calculated powder diffraction line list
Compound: Li9Mn2Co5O16
Radiation: Cu Kα (weighted mean of Kα1 and Kα2)
Structure: a cell relaxed with PBE+U
Kinematic intensities with the Lorentz-polarization factor, no thermal factor.

Most intense lines, 10 to 90 degrees two-theta, low angle first:
(0 0 8), 2θ 18.0, I 100; (2 0 2), 2θ 34.9, I 17; (1 1 -3), 2θ 36.3, I 26; (1 1 5), 2θ 37.6, I 7; (2 0 10), 2θ 42.0, I 32; (1 1 -11), 2θ 43.7, I 56; (1 1 13), 2θ 47.2, I 11; (1 1 -19), 2θ 57.3, I 9; (1 1 21), 2θ 62.0, I 16; (2 0 -22), 2θ 62.3, I 8; (3 1 -1), 2θ 62.5, I 16; (0 2 0), 2θ 64.8, I 7

Structural model:
abc: 5.2059 2.8768 39.3967
angles: 90.00 91.21 90.00
Space group Cm (No. 8)
Asymmetric unit:
1 Li 0.0000 0.0000 0.0000 [2 per cell]
2 Li 0.0008 0.5000 0.5001 [2 per cell]
3 Li 0.1195 0.5000 0.8706 [2 per cell]
4 Li 0.1256 0.0000 0.3747 [2 per cell]
5 Li 0.2508 0.5000 0.2505 [2 per cell]
6 Li 0.2567 0.0000 0.7508 [2 per cell]
7 Li 0.3745 0.5000 0.6256 [2 per cell]
8 Li 0.3766 0.0000 0.1268 [2 per cell]
9 Li 0.4383 0.5000 0.8124 [2 per cell]
10 Mn 0.1886 0.5000 0.0629 [2 per cell]
11 Mn 0.3095 0.0000 0.9372 [2 per cell]
12 Co 0.0620 0.5000 0.6871 [2 per cell]
13 Co 0.0641 0.0000 0.1882 [2 per cell]
14 Co 0.1888 0.0000 0.5627 [2 per cell]
15 Co 0.3130 0.5000 0.4372 [2 per cell]
16 Co 0.4377 0.0000 0.3124 [2 per cell]
17 O 0.0319 0.5000 0.5915 [2 per cell]
18 O 0.0572 0.0000 0.0915 [2 per cell]
19 O 0.0930 0.5000 0.7803 [2 per cell]
20 O 0.1002 0.0000 0.2835 [2 per cell]
21 O 0.1557 0.0000 0.4661 [2 per cell]
22 O 0.1752 0.5000 0.9662 [2 per cell]
23 O 0.2201 0.5000 0.1587 [2 per cell]
24 O 0.2207 0.0000 0.6585 [2 per cell]
25 O 0.2750 0.5000 0.3413 [2 per cell]
26 O 0.2839 0.0000 0.8437 [2 per cell]
27 O 0.3181 0.0000 0.0336 [2 per cell]
28 O 0.3447 0.5000 0.5337 [2 per cell]
29 O 0.4037 0.5000 0.7146 [2 per cell]
30 O 0.4064 0.0000 0.2169 [2 per cell]
31 O 0.4510 0.5000 0.9101 [2 per cell]
32 O 0.4683 0.0000 0.4082 [2 per cell]